Diffraction record for Pr8Sm4Dy. The X-ray diffraction stick pattern is theoretical, not measured: it uses a crystal structure in Alexandria, relaxed with GGA-PBE and a wavelength of 1.5418 Å.
No peak broadening, texture or thermal motion is included.

Structural model:
Lattice parameters (Å, degrees): 11.9271 11.9271 11.8053 90.00 90.00 120.00
Space group R-3m (No. 166, hexagonal axes)
One atom of each set of equivalent atoms:
1 Pr 0.0000 0.0000 0.2435 [6 per cell]
2 Pr 0.0008 0.5004 0.6686 [18 per cell]
3 Sm 0.0000 0.0000 0.0000 [3 per cell]
4 Sm 0.0000 0.5000 0.0000 [9 per cell]
5 Dy 0.0000 0.0000 0.5000 [3 per cell]

The 10 most intense peaks (15° ≤ 2θ ≤ 90°), sorted by position:
d (Å)  two_theta  intensity  hkl
3.935  22.60  30  0 0 3
3.284  27.15  16  1 1 3
2.982  29.97  100  2 2 0
2.377  37.86  47  2 2 3
2.354  38.23  9  2 1 4
1.722  53.21  20  6 0 0
1.642  55.99  17  2 2 6
1.577  58.52  13  6 0 3
1.491  62.27  12  4 4 0
1.127  86.32  10  8 2 0